Entry 1:
This entry pairs a crystal structure of NaTlCd14 with its simulated PXRD pattern. Radiation: Cu Kα. Structure: the GGA-PBE geometry in Alexandria.
Peak positions follow from Bragg's law for the DFT cell and can differ from measured ones.

Cell and atoms:
```
data_NaTlCd14
_cell_length_a 10.962
_cell_length_b 6.188
_cell_length_c 10.925
_cell_angle_alpha 90.00
_cell_angle_beta 90.00
_cell_angle_gamma 90.00
_space_group_name_H-M_alt 'A m m 2'
_space_group_IT_number 38
loop_
_space_group_symop_operation_xyz
'x,y,z'
'-x,-y,z'
'-x,y,z'
'x,-y,z'
'x,y+1/2,z+1/2'
'-x,-y+1/2,z+1/2'
'-x,y+1/2,z+1/2'
'x,-y+1/2,z+1/2'
loop_
_atom_site_label
_atom_site_type_symbol
_atom_site_fract_x
_atom_site_fract_y
_atom_site_fract_z
Na1 Na 0.000 0.000 0.000
Tl1 Tl 0.000 0.000 0.504
Cd1 Cd 0.000 0.248 0.250
Cd2 Cd 0.245 0.000 0.823
Cd3 Cd 0.252 0.000 0.322
Cd4 Cd 0.258 0.249 0.074
Cd5 Cd 0.500 0.000 0.495
Cd6 Cd 0.500 0.000 0.994
Cd7 Cd 0.500 0.249 0.748
```

Most intense lines, 2θ from 10° to 80°, low angle first:
- 2θ 32.68, intensity 44, (4 0 0)
- 2θ 32.80, intensity 17, (0 0 4)
- 2θ 33.28, intensity 17, (0 2 2)
- 2θ 36.76, intensity 42, (2 0 4)
- 2θ 37.21, intensity 100, (2 2 2)
- 2θ 47.33, intensity 12, (4 2 2)
- 2θ 58.85, intensity 15, (0 2 6)
- 2θ 61.32, intensity 22, (6 2 2)
- 2θ 68.96, intensity 18, (4 2 6)
- 2θ 69.83, intensity 12, (4 4 0)


Entry 2:
This entry pairs a crystal structure of Cu3P4S3I3 with its simulated PXRD pattern. Radiation: Cu Kα. Structure: the GGA-PBE geometry in Alexandria.
Peak positions follow from Bragg's law for the DFT cell and can differ from measured ones.

Cell and atoms:
```
data_Cu3P4S3I3
_cell_length_a 19.761
_cell_length_b 10.160
_cell_length_c 7.235
_cell_angle_alpha 90.00
_cell_angle_beta 90.00
_cell_angle_gamma 90.00
_space_group_name_H-M_alt 'P n m a'
_space_group_IT_number 62
loop_
_space_group_symop_operation_xyz
'x,y,z'
'-x,-y,-z'
'-x+1/2,-y,z+1/2'
'x+1/2,y,-z+1/2'
'x+1/2,-y+1/2,-z+1/2'
'-x+1/2,y+1/2,z+1/2'
'-x,y+1/2,-z'
'x,-y+1/2,z'
loop_
_atom_site_label
_atom_site_type_symbol
_atom_site_fract_x
_atom_site_fract_y
_atom_site_fract_z
Cu1 Cu 0.133 0.250 0.078
Cu2 Cu 0.187 0.017 0.580
P1 P 0.024 0.250 0.139
P2 P 0.117 0.637 0.688
P3 P 0.139 0.750 0.951
S1 S 0.014 0.590 0.704
S2 S 0.046 0.750 0.086
I1 I 0.148 0.250 0.714
I2 I 0.191 0.037 0.217
```

Most intense lines, 2θ from 10° to 80°, low angle first:
- 2θ 12.50, intensity 85, (2 1 0)
- 2θ 19.65, intensity 100, (2 2 0)
- 2θ 21.83, intensity 61, (1 2 1)
- 2θ 23.21, intensity 74, (2 2 1)
- 2θ 25.03, intensity 96, (1 0 2)
- 2θ 27.07, intensity 73, (6 0 0)
- 2θ 28.05, intensity 90, (4 2 1)
- 2θ 29.11, intensity 58, (0 3 1)
- 2θ 40.60, intensity 68, (8 2 0)
- 2θ 42.49, intensity 63, (2 2 3)


Entry 3:
This entry pairs a crystal structure of SbPd6Pt12 with its simulated PXRD pattern. Radiation: Cu Kα. Structure: the GGA-PBE geometry in Alexandria.
Peak positions follow from Bragg's law for the DFT cell and can differ from measured ones.

Cell and atoms:
```
data_SbPd6Pt12
_cell_length_a 7.224
_cell_length_b 7.268
_cell_length_c 7.652
_cell_angle_alpha 98.71
_cell_angle_beta 105.32
_cell_angle_gamma 119.53
_space_group_name_H-M_alt 'P -1'
_space_group_IT_number 2
loop_
_space_group_symop_operation_xyz
'x,y,z'
'-x,-y,-z'
loop_
_atom_site_label
_atom_site_type_symbol
_atom_site_fract_x
_atom_site_fract_y
_atom_site_fract_z
Sb1 Sb 0.000 0.000 0.000
Pd1 Pd 0.306 0.339 0.325
Pd2 Pd 0.418 0.145 0.000
Pd3 Pd 0.446 0.046 0.327
Pt1 Pt 0.014 0.906 0.327
Pt2 Pt 0.127 0.805 0.669
Pt3 Pt 0.157 0.621 0.325
Pt4 Pt 0.188 0.465 0.002
Pt5 Pt 0.263 0.517 0.669
Pt6 Pt 0.413 0.237 0.669
```

Most intense lines, 2θ from 10° to 80°, low angle first:
- 2θ 12.73, intensity 23, (0 0 1)
- 2θ 37.97, intensity 40, (1 -3 1)
- 2θ 38.37, intensity 45, (-3 2 1)
- 2θ 38.86, intensity 100, (0 0 3)
- 2θ 41.47, intensity 63, (1 -3 2)
- 2θ 41.68, intensity 65, (2 1 0)
- 2θ 42.13, intensity 34, (-3 2 2)
- 2θ 43.68, intensity 59, (2 1 -3)
- 2θ 43.85, intensity 33, (3 -2 1)
- 2θ 43.97, intensity 55, (-1 3 1)